No. 1
Diffraction record for DySc2Cu2. The X-ray powder pattern is theoretical, not measured: it uses a structure optimized by DFT (GGA-PBE) and Cu Kα (λ = 1.5418 Å).
Intensities are scaled so that the largest is 100.

Cell and atoms:
```
10
Lattice="3.339 0.000 0.000 0.000 4.861 0.000 -1.667 0.000 12.404" Properties=species:S:1:pos:R:3 pbc="T T T"
Dy 0.000 1.215 3.521
Dy 1.673 3.646 8.882
Sc -0.001 3.646 1.148
Sc 0.002 3.646 5.756
Sc 1.670 1.215 6.648
Sc 1.673 1.215 11.256
Cu 0.002 1.215 8.893
Cu 0.003 3.646 11.377
Cu 1.669 1.215 1.026
Cu 1.670 3.646 3.511
```

The 10 most intense peaks (10 to 90 degrees two-theta), most intense first:
2θ (°), I (rel.)
37.4, 100
37.0, 29
14.3, 24
36.2, 21
66.9, 17
28.8, 15
19.6, 14
52.7, 13
34.3, 12
32.7, 11



No. 2
Diffraction record for KTePbSe3. The X-ray powder pattern is theoretical, not measured: it uses a structure optimized by DFT (GGA-PBE) and Cu Kα (λ = 1.5418 Å).
Intensities are scaled so that the largest is 100.

Cell and atoms:
```
12
Lattice="9.046 0.000 0.000 0.000 4.607 0.000 -0.193 0.000 10.699" Properties=species:S:1:pos:R:3 pbc="T T T"
K 0.840 1.152 3.548
K 8.013 3.455 7.151
Te 1.383 1.152 9.753
Te 7.470 3.455 0.946
Pb 3.820 3.455 6.932
Pb 5.032 1.152 3.768
Se 1.491 1.152 7.203
Se 2.594 3.455 10.321
Se 3.089 3.455 4.189
Se 5.764 1.152 6.510
Se 6.258 1.152 0.378
Se 7.362 3.455 3.496
```

The 10 most intense peaks (10 to 90 degrees two-theta), most intense first:
2θ (°), I (rel.)
27.6, 100
12.9, 95
25.0, 45
23.1, 35
39.1, 32
37.8, 30
25.5, 27
28.8, 27
43.7, 27
33.5, 21



No. 3
Diffraction record for Ca3Er2HfAs6. The X-ray powder pattern is theoretical, not measured: it uses a structure optimized by DFT (GGA-PBE) and Cu Kα (λ = 1.5418 Å).
Intensities are scaled so that the largest is 100.

Cell and atoms:
```
12
Lattice="3.529 -6.111 0.000 3.529 6.111 0.000 -2.353 0.000 6.866" Properties=species:S:1:pos:R:3 pbc="T T T"
Ca 0.000 0.000 0.000
Ca 3.529 2.083 0.000
Ca 3.529 -2.083 0.000
Er 2.352 4.080 3.433
Er 2.352 -4.080 3.433
Hf 2.352 0.000 3.433
As 1.222 1.960 1.858
As 0.096 0.000 5.018
As 1.222 -1.960 1.858
As 3.482 1.960 5.008
As 4.608 0.000 1.848
As 3.482 -1.960 5.008
```

The 10 most intense peaks (10 to 90 degrees two-theta), most intense first:
2θ (°), I (rel.)
30.7, 100
12.9, 39
43.5, 37
44.5, 36
55.0, 19
25.6, 17
73.3, 15
71.9, 15
64.0, 11
81.2, 11